1.
# FePd3Pt6
Theoretical powder XRD pattern, λ = 1.5418 Å (Cu Kα). Input: the PBE geometry in Alexandria.
Peak positions follow from Bragg's law for the DFT cell and can differ from measured ones.

Main lines, low angle first (2θ = 10–90°):
(1 1 2), 36.03 deg, intensity 28; (0 2 1), 36.74 deg, intensity 31; (2 0 2), 38.38 deg, intensity 38; (3 1 -2), 38.56 deg, intensity 39; (2 2 -1), 40.09 deg, intensity 100; (4 0 0), 40.29 deg, intensity 30; (2 0 -3), 40.43 deg, intensity 43; (0 0 3), 41.33 deg, intensity 30; (4 0 -2), 41.90 deg, intensity 37; (2 2 1), 44.05 deg, intensity 77

```
data_FePd3Pt6
_cell_length_a 9.3400
_cell_length_b 5.2732
_cell_length_c 6.8354
_cell_angle_alpha 90.00
_cell_angle_beta 106.52
_cell_angle_gamma 90.00
_space_group_name_H-M_alt 'C 1 2/m 1'
_space_group_IT_number 12
_space_group_name_Hall '-C 2y'
loop_
_atom_site_label
_atom_site_fract_x
_atom_site_fract_y
_atom_site_fract_z
Fe1 0.0000 0.0000 0.0000
Pd1 0.0000 0.5000 0.5000
Pd2 0.1012 0.5000 0.1828
Pt1 0.1382 0.0000 0.4162
Pt2 0.1561 0.2491 0.8112
```

---

2.
# Fe3Pd3Pt2
Theoretical powder XRD pattern, λ = 1.5418 Å (Cu Kα). Input: the PBE geometry in Alexandria.
Peak positions follow from Bragg's law for the DFT cell and can differ from measured ones.

Main lines, low angle first (2θ = 10–90°):
(0 0 2), 23.28 deg, intensity 13; (1 1 0), 32.58 deg, intensity 11; (1 1 2), 40.43 deg, intensity 100; (0 2 0), 46.59 deg, intensity 17; (2 0 0), 46.89 deg, intensity 16; (0 0 4), 47.60 deg, intensity 15; (2 2 0), 68.25 deg, intensity 10; (1 3 2), 82.20 deg, intensity 12; (3 1 2), 82.65 deg, intensity 12; (1 1 6), 83.70 deg, intensity 11

```
data_Fe3Pd3Pt2
_cell_length_a 3.8750
_cell_length_b 3.8989
_cell_length_c 7.6410
_cell_angle_alpha 90.00
_cell_angle_beta 90.00
_cell_angle_gamma 90.00
_space_group_name_H-M_alt 'P m m m'
_space_group_IT_number 47
_space_group_name_Hall '-P 2 2'
loop_
_atom_site_label
_atom_site_fract_x
_atom_site_fract_y
_atom_site_fract_z
Fe1 0.0000 0.0000 0.0000
Fe2 0.0000 0.0000 0.5000
Fe3 0.5000 0.5000 0.0000
Pd1 0.0000 0.5000 0.2417
Pd2 0.5000 0.5000 0.5000
Pt1 0.5000 0.0000 0.2392
```

---

3.
# FePdPt14
Theoretical powder XRD pattern, λ = 1.5418 Å (Cu Kα). Input: the PBE geometry in Alexandria.
Peak positions follow from Bragg's law for the DFT cell and can differ from measured ones.

Main lines, low angle first (2θ = 10–90°):
(0 2 2), 37.30 deg, intensity 12; (1 2 2), 38.59 deg, intensity 35; (4 0 0), 38.87 deg, intensity 35; (2 0 4), 42.25 deg, intensity 100; (3 2 2), 47.86 deg, intensity 19; (5 2 2), 63.29 deg, intensity 9; (0 2 6), 67.21 deg, intensity 14; (6 0 4), 72.70 deg, intensity 20; (4 2 6), 80.45 deg, intensity 17; (2 4 4), 82.78 deg, intensity 10

```
data_FePdPt14
_cell_length_a 9.2676
_cell_length_b 5.5609
_cell_length_c 9.6558
_cell_angle_alpha 90.00
_cell_angle_beta 90.00
_cell_angle_gamma 90.00
_space_group_name_H-M_alt 'A m m 2'
_space_group_IT_number 38
_space_group_name_Hall 'A 2 -2'
loop_
_atom_site_label
_atom_site_fract_x
_atom_site_fract_y
_atom_site_fract_z
Fe1 0.0000 0.0000 0.0000
Pd1 0.0000 0.0000 0.5024
Pt1 0.0000 0.2489 0.7520
Pt2 0.2427 0.0000 0.1644
Pt3 0.2444 0.2479 0.9169
Pt4 0.2498 0.0000 0.6662
Pt5 0.5000 0.0000 0.3313
Pt6 0.5000 0.0000 0.8318
Pt7 0.5000 0.2495 0.0814
```

---

4.
# Fe2Pd4Pt3
Theoretical powder XRD pattern, λ = 1.5418 Å (Cu Kα). Input: the PBE geometry in Alexandria.
Peak positions follow from Bragg's law for the DFT cell and can differ from measured ones.

Main lines, low angle first (2θ = 10–90°):
(0 0 2), 22.76 deg, intensity 7; (1 1 -1), 26.12 deg, intensity 10; (3 1 0), 39.97 deg, intensity 100; (0 2 0), 46.32 deg, intensity 33; (2 0 3), 46.82 deg, intensity 16; (4 2 -3), 67.59 deg, intensity 10; (2 2 3), 67.94 deg, intensity 15; (3 3 0), 81.47 deg, intensity 19; (5 1 3), 82.16 deg, intensity 6; (1 1 6), 82.34 deg, intensity 7

```
data_Fe2Pd4Pt3
_cell_length_a 8.7538
_cell_length_b 3.9226
_cell_length_c 8.2580
_cell_angle_alpha 90.00
_cell_angle_beta 108.87
_cell_angle_gamma 90.00
_space_group_name_H-M_alt 'C 1 2/m 1'
_space_group_IT_number 12
_space_group_name_Hall '-C 2y'
loop_
_atom_site_label
_atom_site_fract_x
_atom_site_fract_y
_atom_site_fract_z
Fe1 0.1677 0.0000 0.2245
Pd1 0.0030 0.5000 0.6706
Pd2 0.1664 0.0000 0.8921
Pt1 0.0000 0.5000 0.0000
Pt2 0.1701 0.0000 0.5560
```

---

5.
# FePd2Pt4
Theoretical powder XRD pattern, λ = 1.5418 Å (Cu Kα). Input: the PBE geometry in Alexandria.
Peak positions follow from Bragg's law for the DFT cell and can differ from measured ones.

Main lines, low angle first (2θ = 10–90°):
(0 2 0), 22.64 deg, intensity 24; (2 0 1), 33.17 deg, intensity 20; (2 2 1), 40.53 deg, intensity 100; (0 4 0), 46.23 deg, intensity 17; (0 0 2), 47.50 deg, intensity 16; (4 0 0), 47.71 deg, intensity 15; (2 6 1), 81.75 deg, intensity 12; (2 2 3), 83.62 deg, intensity 13; (6 2 1), 83.93 deg, intensity 11; (4 4 2), 87.70 deg, intensity 10

```
data_FePd2Pt4
_cell_length_a 7.6246
_cell_length_b 7.8549
_cell_length_c 3.8280
_cell_angle_alpha 90.00
_cell_angle_beta 90.00
_cell_angle_gamma 90.00
_space_group_name_H-M_alt 'C m m m'
_space_group_IT_number 65
_space_group_name_Hall '-C 2 2'
loop_
_atom_site_label
_atom_site_fract_x
_atom_site_fract_y
_atom_site_fract_z
Fe1 0.0000 0.0000 0.0000
Pd1 0.2303 0.5000 0.5000
Pt1 0.0000 0.2345 0.5000
Pt2 0.2500 0.2500 0.0000
```

---

6.
# Fe2Pd3Pt4
Theoretical powder XRD pattern, λ = 1.5418 Å (Cu Kα). Input: the PBE geometry in Alexandria.
Peak positions follow from Bragg's law for the DFT cell and can differ from measured ones.

Main lines, low angle first (2θ = 10–90°):
(0 0 2), 13.30 deg, intensity 25; (1 1 0), 34.93 deg, intensity 18; (1 1 2), 37.53 deg, intensity 28; (1 0 3), 38.71 deg, intensity 28; (0 0 6), 40.67 deg, intensity 48; (0 3 3), 41.27 deg, intensity 100; (1 2 1), 41.37 deg, intensity 42; (1 1 4), 44.56 deg, intensity 31; (1 2 3), 45.83 deg, intensity 26; (2 3 3), 83.42 deg, intensity 26

```
data_Fe2Pd3Pt4
_cell_length_a 2.7317
_cell_length_b 7.5439
_cell_length_c 13.3096
_cell_angle_alpha 90.00
_cell_angle_beta 90.00
_cell_angle_gamma 90.00
_space_group_name_H-M_alt 'I m m m'
_space_group_IT_number 71
_space_group_name_Hall '-I 2 2'
loop_
_atom_site_label
_atom_site_fract_x
_atom_site_fract_y
_atom_site_fract_z
Fe1 0.0000 0.1740 0.0000
Pd1 0.0000 0.0000 0.5000
Pd2 0.0000 0.5000 0.3581
Pt1 0.0000 0.3230 0.1685
```

---

7.
# Rb2FePd2
Theoretical powder XRD pattern, λ = 1.5418 Å (Cu Kα). Input: the PBE geometry in Alexandria.
Peak positions follow from Bragg's law for the DFT cell and can differ from measured ones.

Main lines, low angle first (2θ = 10–90°):
(0 0 1), 15.57 deg, intensity 11; (2 0 1), 30.93 deg, intensity 12; (0 0 2), 31.43 deg, intensity 38; (2 1 1), 33.76 deg, intensity 100; (3 1 0), 42.60 deg, intensity 20; (3 1 1), 45.62 deg, intensity 6; (3 1 2), 53.89 deg, intensity 20; (2 1 3), 57.46 deg, intensity 21; (4 1 1), 59.02 deg, intensity 12; (5 2 1), 78.58 deg, intensity 8

```
data_Rb2FePd2
_cell_length_a 6.7112
_cell_length_b 6.7112
_cell_length_c 5.6925
_cell_angle_alpha 90.00
_cell_angle_beta 90.00
_cell_angle_gamma 90.00
_space_group_name_H-M_alt 'P 4/m b m'
_space_group_IT_number 127
_space_group_name_Hall '-P 4 2ab'
loop_
_atom_site_label
_atom_site_fract_x
_atom_site_fract_y
_atom_site_fract_z
Rb1 0.1801 0.3199 0.0000
Fe1 0.0000 0.0000 0.5000
Pd1 0.1418 0.6418 0.5000
```

---

8.
# Rb2FePdSe4
Theoretical powder XRD pattern, λ = 1.5418 Å (Cu Kα). Input: the PBE geometry in Alexandria.
Peak positions follow from Bragg's law for the DFT cell and can differ from measured ones.

Main lines, low angle first (2θ = 10–90°):
(0 2 2), 14.82 deg, intensity 51; (0 0 4), 15.35 deg, intensity 36; (1 3 1), 24.76 deg, intensity 46; (0 2 6), 26.44 deg, intensity 37; (1 3 3), 27.10 deg, intensity 93; (1 3 5), 31.29 deg, intensity 100; (2 0 6), 38.76 deg, intensity 58; (0 6 6), 45.52 deg, intensity 35; (2 6 0), 50.15 deg, intensity 65; (2 0 10), 50.43 deg, intensity 27

```
data_Rb2FePdSe4
_cell_length_a 5.8294
_cell_length_b 13.9782
_cell_length_c 23.0867
_cell_angle_alpha 90.00
_cell_angle_beta 90.00
_cell_angle_gamma 90.00
_space_group_name_H-M_alt 'F d d d'
_space_group_IT_number 70
loop_
_space_group_symop_operation_xyz
'x,y,z'
'-x,-y,-z'
'-x+1/4,-y+1/4,z'
'x+1/4,y+1/4,-z'
'x,-y+1/4,-z+1/4'
'-x,y+1/4,z+1/4'
'-x+1/4,y,-z+1/4'
'x+1/4,-y,z+1/4'
'x,y+1/2,z+1/2'
'-x,-y+1/2,-z+1/2'
'-x+1/4,-y+3/4,z+1/2'
'x+1/4,y+3/4,-z+1/2'
'x,-y+3/4,-z+3/4'
'-x,y+3/4,z+3/4'
'-x+1/4,y+1/2,-z+3/4'
'x+1/4,-y+1/2,z+3/4'
'x+1/2,y,z+1/2'
'-x+1/2,-y,-z+1/2'
'-x+3/4,-y+1/4,z+1/2'
'x+3/4,y+1/4,-z+1/2'
'x+1/2,-y+1/4,-z+3/4'
'-x+1/2,y+1/4,z+3/4'
'-x+3/4,y,-z+3/4'
'x+3/4,-y,z+3/4'
'x+1/2,y+1/2,z'
'-x+1/2,-y+1/2,-z'
'-x+3/4,-y+3/4,z'
'x+3/4,y+3/4,-z'
'x+1/2,-y+3/4,-z+1/4'
'-x+1/2,y+3/4,z+1/4'
'-x+3/4,y+1/2,-z+1/4'
'x+3/4,-y+1/2,z+1/4'
loop_
_atom_site_label
_atom_site_fract_x
_atom_site_fract_y
_atom_site_fract_z
Rb1 0.1250 0.1250 0.3078
Fe1 0.1250 0.1250 0.6250
Pd1 0.1250 0.1250 0.1250
Se1 0.0990 0.2799 0.8154
```